1.
Simulated powder XRD pattern of Tb5Ag6 for a wavelength of 1.5418 Å, from a DFT-relaxed cell (GGA-PBE, Alexandria).
Kinematic intensities with the Lorentz-polarization factor, no thermal factor.

a b c (Å): 8.7891 8.7891 5.0482
angles (deg): 105.43 105.43 49.74
Element x y z (fractional)
Tb: 0.0000 0.0000 0.0000
Tb: 0.1717 0.1717 0.6744
Tb: 0.3493 0.3493 0.3401
Tb: 0.6507 0.6507 0.6599
Tb: 0.8283 0.8283 0.3256
Ag: 0.0621 0.5889 0.8209
Ag: 0.2259 0.7741 0.5000
Ag: 0.4111 0.9379 0.1791
Ag: 0.5889 0.0621 0.8209
Ag: 0.7741 0.2259 0.5000
Ag: 0.9379 0.4111 0.1791

Top 12 peaks for 2θ from 10° to 80°, most intense first:
d (Å)	Position (°2θ)	I_rel
2.588	34.66	100
2.556	35.11	96
2.523	35.58	49
2.541	35.32	44
1.813	50.33	18
1.848	49.31	17
1.475	63.02	17
1.491	62.27	17
1.457	63.89	16
1.495	62.10	15
6.652	13.31	15
1.769	51.67	15

2.
Simulated powder XRD pattern of Tb7Ag3 for a wavelength of 1.5418 Å, from a DFT-relaxed cell (GGA-PBE, Alexandria).
Kinematic intensities with the Lorentz-polarization factor, no thermal factor.

a b c (Å): 10.1501 10.1501 6.3645
angles (deg): 90.00 90.00 120.00
Element x y z (fractional)
Tb: 0.0659 0.5329 0.0000
Tb: 0.1263 0.2525 0.2750
Tb: 0.1263 0.8737 0.2750
Tb: 0.2525 0.1263 0.7750
Tb: 0.3333 0.6667 0.4362
Tb: 0.4671 0.5329 0.0000
Tb: 0.4671 0.9341 0.0000
Tb: 0.5329 0.0659 0.5000
Tb: 0.5329 0.4671 0.5000
Tb: 0.6667 0.3333 0.9362
Tb: 0.7475 0.8737 0.2750
Tb: 0.8737 0.1263 0.7750
Tb: 0.8737 0.7475 0.7750
Tb: 0.9341 0.4671 0.5000
Ag: 0.1949 0.3899 0.7198
Ag: 0.1949 0.8051 0.7198
Ag: 0.3899 0.1949 0.2198
Ag: 0.6101 0.8051 0.7198
Ag: 0.8051 0.1949 0.2198
Ag: 0.8051 0.6101 0.2198

Top 12 peaks for 2θ from 10° to 80°, most intense first:
d (Å)	Position (°2θ)	I_rel
2.945	30.35	100
2.662	33.67	77
2.578	34.81	66
2.538	35.37	51
2.992	29.86	42
1.695	54.12	25
1.703	53.82	23
1.718	53.31	20
2.930	30.51	19
1.692	54.22	18
1.837	49.64	17
1.374	68.24	17

3.
Simulated powder XRD pattern of Tb6Ag5 for a wavelength of 1.5418 Å, from a DFT-relaxed cell (GGA-PBE, Alexandria).
Kinematic intensities with the Lorentz-polarization factor, no thermal factor.

a b c (Å): 8.8600 8.8600 8.8600
angles (deg): 146.32 131.64 60.23
Element x y z (fractional)
Tb: 0.0845 0.3365 0.7480
Tb: 0.2477 0.0000 0.2477
Tb: 0.4115 0.6635 0.7480
Tb: 0.5885 0.3365 0.2520
Tb: 0.7523 0.0000 0.7523
Tb: 0.9155 0.6635 0.2520
Ag: 0.1696 0.1696 0.0000
Ag: 0.3312 0.8312 0.5000
Ag: 0.5000 0.5000 0.0000
Ag: 0.6688 0.1688 0.5000
Ag: 0.8304 0.8304 0.0000

Top 12 peaks for 2θ from 10° to 80°, most intense first:
d (Å)	Position (°2θ)	I_rel
2.564	34.99	100
1.481	62.72	21
2.555	35.13	20
1.811	50.40	14
1.477	62.94	14
3.624	24.56	9
1.282	73.95	9
1.479	62.81	7
1.815	50.28	7
1.623	56.74	2
1.283	73.84	2
1.277	74.25	2

4.
Simulated powder XRD pattern of Tb3Ag5 for a wavelength of 1.5418 Å, from a DFT-relaxed cell (GGA-PBE, Alexandria).
Kinematic intensities with the Lorentz-polarization factor, no thermal factor.

a b c (Å): 7.4838 7.4838 3.8662
angles (deg): 90.00 90.00 120.00
Element x y z (fractional)
Tb: 0.0000 0.3828 0.0000
Tb: 0.3828 0.0000 0.0000
Tb: 0.6172 0.6172 0.0000
Ag: 0.0000 0.7660 0.5000
Ag: 0.2340 0.2340 0.5000
Ag: 0.3333 0.6667 0.5000
Ag: 0.6667 0.3333 0.5000
Ag: 0.7660 0.0000 0.5000

Top 12 peaks for 2θ from 10° to 80°, most intense first:
d (Å)	Position (°2θ)	I_rel
2.689	33.32	100
2.450	36.69	41
2.484	36.17	30
2.160	41.81	22
1.518	61.06	18
1.933	47.01	15
1.328	70.96	14
2.069	43.75	12
1.441	64.71	12
1.388	67.49	12
1.630	56.45	12
3.742	23.78	9

5.
Simulated powder XRD pattern of TbAgTe2 for a wavelength of 1.5418 Å, from a DFT-relaxed cell (GGA-PBE, Alexandria).
Kinematic intensities with the Lorentz-polarization factor, no thermal factor.

a b c (Å): 7.1259 7.1259 4.7489
angles (deg): 90.00 90.00 90.00
Element x y z (fractional)
Tb: 0.0000 0.5000 0.1890
Tb: 0.5000 0.0000 0.8110
Ag: 0.0000 0.0000 0.0000
Ag: 0.5000 0.5000 0.0000
Te: 0.2022 0.7022 0.7086
Te: 0.2978 0.2022 0.2914
Te: 0.7022 0.7978 0.2914
Te: 0.7978 0.2978 0.7086

Top 12 peaks for 2θ from 10° to 80°, most intense first:
d (Å)	Position (°2θ)	I_rel
3.456	25.78	100
2.646	33.88	82
2.519	35.64	80
2.850	31.39	59
2.124	42.56	56
2.148	42.07	38
1.510	61.38	31
3.187	28.00	28
1.275	74.43	23
1.295	73.05	20
1.728	52.99	19
2.036	44.50	19

6.
Simulated powder XRD pattern of Tb8Ag2Te for a wavelength of 1.5418 Å, from a DFT-relaxed cell (GGA-PBE, Alexandria).
Kinematic intensities with the Lorentz-polarization factor, no thermal factor.

a b c (Å): 8.1229 8.1229 5.7076
angles (deg): 99.17 99.17 116.19
Element x y z (fractional)
Tb: 0.0843 0.3189 0.6114
Tb: 0.2381 0.7619 0.0000
Tb: 0.3189 0.0843 0.6114
Tb: 0.3971 0.3971 0.1988
Tb: 0.6029 0.6029 0.8012
Tb: 0.6811 0.9157 0.3886
Tb: 0.7619 0.2381 0.0000
Tb: 0.9157 0.6811 0.3886
Ag: 0.3064 0.6936 0.5000
Ag: 0.6936 0.3064 0.5000
Te: 0.0000 0.0000 0.0000

Top 12 peaks for 2θ from 10° to 80°, most intense first:
d (Å)	Position (°2θ)	I_rel
2.912	30.70	100
2.745	32.62	93
2.637	34.00	91
2.880	31.05	70
2.450	36.68	69
2.793	32.04	69
3.021	29.57	36
1.479	62.82	31
1.561	59.18	31
2.346	38.37	30
1.691	54.24	27
2.531	35.47	27

7.
Simulated powder XRD pattern of Tb5AgTe4 for a wavelength of 1.5418 Å, from a DFT-relaxed cell (GGA-PBE, Alexandria).
Kinematic intensities with the Lorentz-polarization factor, no thermal factor.

a b c (Å): 7.5274 7.5274 7.5274
angles (deg): 99.71 99.71 131.50
Element x y z (fractional)
Tb: 0.0000 0.0000 0.0000
Tb: 0.2118 0.5996 0.8128
Tb: 0.3990 0.2118 0.6122
Tb: 0.5996 0.7868 0.3878
Tb: 0.7868 0.3990 0.1872
Ag: 0.5001 0.5001 0.0000
Te: 0.0923 0.3042 0.3980
Te: 0.3042 0.9062 0.2119
Te: 0.6943 0.0923 0.7881
Te: 0.9062 0.6943 0.6020

Top 12 peaks for 2θ from 10° to 80°, most intense first:
d (Å)	Position (°2θ)	I_rel
3.069	29.09	100
2.178	41.45	77
3.092	28.88	52
1.776	51.44	40
2.170	41.61	37
1.255	75.83	24
1.381	67.88	18
1.375	68.23	16
1.373	68.34	16
1.259	75.50	13
1.535	60.31	12
1.546	59.83	8